(1)
Theoretical X-ray powder pattern of AlWC2 for λ = 1.5418 Å (Cu Kα), from a GGA-PBE-relaxed structure.
Peak positions follow from Bragg's law for the DFT cell and can differ from measured ones.

Cell and atoms:
Lattice parameters (Å, degrees): 2.796 2.995 5.056 90.00 90.00 90.00
Space group Pmm2 (No. 25)
One atom of each set of equivalent atoms:
Al (0.000, 0.000, 0.000) [1 per cell]
W (0.000, 0.500, 0.523) [1 per cell]
C (0.500, 0.000, 0.376) [1 per cell]
C (0.500, 0.500, 0.844) [1 per cell]

Largest 10 diffraction maxima, low angle first, 5 to 70 degrees two-theta:
2θ (°)	I (rel.)	index
17.54	100.0	0 0 1
29.83	27.5	0 1 0
32.01	33.7	1 0 0
34.81	60.7	0 1 1
35.51	29.3	0 0 2
36.73	31.4	1 0 1
44.32	19.1	1 1 0
48.01	60.3	1 1 1
48.55	28.5	1 0 2
58.03	18.4	1 1 2

=====

(2)
Theoretical X-ray powder pattern of Y5Al3C4 for λ = 1.5418 Å (Cu Kα), from a GGA-PBE-relaxed structure.
Peak positions follow from Bragg's law for the DFT cell and can differ from measured ones.

Cell and atoms:
Lattice parameters (Å, degrees): 10.919 10.919 3.524 90.00 90.00 90.00
Space group P4/mbm (No. 127)
One atom of each set of equivalent atoms:
Y (0.000, 0.500, 0.000) [2 per cell]
Y (0.051, 0.230, 0.500) [8 per cell]
Al (0.000, 0.000, 0.000) [2 per cell]
Al (0.204, 0.704, 0.000) [4 per cell]
C (0.133, 0.633, 0.500) [4 per cell]
C (0.162, 0.338, 0.000) [4 per cell]

Largest 10 diffraction maxima, low angle first, 5 to 70 degrees two-theta:
2θ (°)	I (rel.)	index
29.50	13.3	3 2 0
32.81	29.2	4 0 0
33.85	30.1	4 1 0
34.46	100.0	2 2 1
36.81	14.3	4 2 0
39.23	20.7	3 2 1
42.71	15.9	4 1 1
49.83	12.9	5 1 1
56.95	12.6	6 0 1
62.89	14.0	6 3 1

=====

(3)
Theoretical X-ray powder pattern of Y3AlC for λ = 1.5418 Å (Cu Kα), from a GGA-PBE-relaxed structure.
Peak positions follow from Bragg's law for the DFT cell and can differ from measured ones.

Cell and atoms:
Lattice parameters (Å, degrees): 4.895 4.895 4.895 90.00 90.00 90.00
Space group Pm-3m (No. 221)
One atom of each set of equivalent atoms:
Y (0.000, 0.000, 0.500) [3 per cell]
Al (0.500, 0.500, 0.500) [1 per cell]
C (0.000, 0.000, 0.000) [1 per cell]

Largest 10 diffraction maxima, low angle first, 5 to 70 degrees two-theta:
2θ (°)	I (rel.)	index
18.12	21.0	1 0 0
25.74	8.2	1 1 0
31.66	100.0	1 1 1
36.72	57.4	2 0 0
41.24	9.3	2 1 0
45.38	3.8	2 1 1
52.90	38.5	2 2 0
56.39	4.3	3 0 0
62.97	40.1	3 1 1
66.12	12.8	2 2 2